Theoretical powder diffractogram
Compound: CoTePbO6
Radiation: Cu Kα X-rays
Structure: a crystal structure in Alexandria, relaxed with PBE+U

Most intense lines, 15 to 90 degrees two-theta, in order of rising 2θ:
2theta  I (rel.)  h k l
20.01  12  1 0 0
26.65  100  1 0 1
35.02  31  1 1 0
44.54  24  2 0 1
50.54  34  2 -1 2
57.88  23  3 -1 1
58.20  11  1 0 3
62.82  10  3 0 0
80.23  10  3 1 1
80.51  9  2 1 3

Atomic structure:
a b c (Å): 5.1246 5.1246 5.0913
angles (deg): 90.00 90.00 120.00
Space group P312 (No. 149)
Inequivalent atoms, fractional coordinates:
Co (0.0000, 0.0000, 0.0000)
Te (0.3333, 0.6667, 0.0000)
Pb (0.6667, 0.3333, 0.5000)
O (0.0405, 0.3263, 0.2134)